Diffraction record for LiNiPO4. The XRD peak list is computed, not measured: it uses a DFT-relaxed cell (PBE+U, Alexandria) and λ = 1.5418 Å (Cu Kα).

Largest 8 diffraction maxima, in order of rising 2θ, 10 to 90 degrees two-theta:
d (Å)	two_theta	Rel. int.
7.855	11.27	26
4.247	20.92	65
4.092	21.72	100
3.927	22.64	82
3.123	28.59	33
2.505	35.84	36
2.458	36.56	21
2.137	42.29	23

Atomic structure:
```
LiNiPO4
1.0
4.316 -2.505 0.000
4.316 2.505 0.000
-2.275 0.000 15.709
Li Ni P O
4 4 4 16
Direct
0.001 0.526 0.805
0.474 0.999 0.695
0.526 0.001 0.305
0.999 0.474 0.195
0.099 0.608 0.589
0.392 0.901 0.911
0.608 0.099 0.089
0.901 0.392 0.411
0.217 0.662 0.377
0.338 0.783 0.123
0.662 0.217 0.877
0.783 0.338 0.623
0.036 0.772 0.126
0.045 0.361 0.684
0.137 0.624 0.465
0.228 0.964 0.374
0.361 0.045 0.184
0.376 0.863 0.035
0.383 0.532 0.853
0.468 0.617 0.647
0.532 0.383 0.353
0.617 0.468 0.147
0.624 0.137 0.965
0.639 0.955 0.816
0.772 0.036 0.626
0.863 0.376 0.535
0.955 0.639 0.316
0.964 0.228 0.874
```